1.
The following is a theoretical PXRD pattern of Na5B8C2. It was derived from a cell relaxed with PBE, using Cu Ka.
Kinematic intensities with the Lorentz-polarization factor, no thermal factor.

Most intense lines, 2θ from 10° to 90°, sorted by position:
(hkl)  2theta  d [Å]  I/Imax
6 0 2  34.19  2.623  12
3 1 1  35.84  2.505  18
2 0 4  40.19  2.244  25
10 0 0  40.35  2.235  25
1 1 -3  41.72  2.165  100
8 0 -4  41.99  2.152  37
9 1 3  62.29  1.491  18
0 2 0  65.46  1.426  8
8 0 6  75.72  1.256  6
1 1 7  77.81  1.227  9
17 1 -1  78.14  1.223  8
8 2 -4  80.88  1.189  8

Cell lengths 23.2721, 2.8516, 10.0990 Å; angles 90.00, 106.16, 90.00 degrees
Space group Cm (No. 8)
Inequivalent atoms, fractional coordinates:
Na  0.0000  0.0000  0.0000 x2
Na  0.0003  0.5000  0.4970 x2
Na  0.1003  0.0000  0.6980 x2
Na  0.1003  0.5000  0.1983 x2
Na  0.1989  0.0000  0.3983 x2
Na  0.2004  0.5000  0.8944 x2
Na  0.2983  0.5000  0.5979 x2
Na  0.3004  0.0000  0.0942 x2
Na  0.3995  0.0000  0.7985 x2
Na  0.4003  0.5000  0.2943 x2
B  0.0205  0.5000  0.7883 x2
B  0.0236  0.0000  0.2940 x2
B  0.0852  0.5000  0.9174 x2
B  0.1165  0.5000  0.4798 x2
B  0.1218  0.0000  0.9901 x2
B  0.1875  0.0000  0.1226 x2
B  0.2105  0.0000  0.6682 x2
B  0.2754  0.5000  0.2985 x2
B  0.2804  0.0000  0.8088 x2
B  0.3148  0.0000  0.3768 x2
B  0.3202  0.5000  0.8883 x2
B  0.3775  0.0000  0.5024 x2
B  0.4139  0.0000  0.0753 x2
B  0.4185  0.5000  0.5850 x2
B  0.4815  0.5000  0.7104 x2
B  0.4830  0.0000  0.2132 x2
C  0.0854  0.0000  0.4169 x2
C  0.1798  0.5000  0.6064 x2
C  0.2160  0.5000  0.1808 x2
C  0.3824  0.5000  0.0125 x2

=====

2.
The following is a theoretical PXRD pattern of Na5B8C2. It was derived from a cell relaxed with PBE, using Cu Ka.
Kinematic intensities with the Lorentz-polarization factor, no thermal factor.

Most intense lines, 2θ from 10° to 90°, sorted by position:
(hkl)  2theta  d [Å]  I/Imax
2 0 4  33.92  2.643  14
1 1 2  36.14  2.485  16
6 0 2  39.96  2.256  48
8 0 -4  41.69  2.167  38
5 1 0  41.90  2.156  100
7 1 -6  56.33  1.633  9
3 1 6  62.15  1.494  17
0 2 0  66.39  1.408  8
13 1 -4  76.24  1.249  13
5 1 -10  77.62  1.230  8
11 1 2  77.67  1.229  8
8 2 -4  81.53  1.181  8

Cell lengths 18.1171, 2.8163, 13.6743 Å; angles 90.00, 112.41, 90.00 degrees
Space group C2/m (No. 12)
Inequivalent atoms, fractional coordinates:
Na  0.0000  0.0000  0.0000 x2
Na  0.0000  0.0000  0.5000 x2
Na  0.1006  0.5000  0.1953 x4
Na  0.1013  0.5000  0.7029 x4
Na  0.1996  0.0000  0.3970 x4
Na  0.2004  0.0000  0.9017 x4
B  0.0236  0.0000  0.2940 x4
B  0.0648  0.5000  0.3777 x4
B  0.0661  0.5000  0.8854 x4
B  0.1270  0.5000  0.5035 x4
B  0.1591  0.0000  0.0676 x4
B  0.1694  0.0000  0.5903 x4
B  0.2268  0.0000  0.2002 x4
B  0.2327  0.0000  0.7187 x4
C  0.0349  0.0000  0.8237 x4
C  0.1277  0.5000  0.0068 x4

=====

3.
The following is a theoretical PXRD pattern of Na10B17C3. It was derived from a cell relaxed with PBE, using Cu Ka.
Kinematic intensities with the Lorentz-polarization factor, no thermal factor.

Most intense lines, 2θ from 10° to 90°, sorted by position:
(hkl)  2theta  d [Å]  I/Imax
2 0 4  34.58  2.594  10
1 1 2  35.05  2.560  20
6 0 2  40.63  2.220  52
5 1 0  41.04  2.199  100
8 0 -4  42.07  2.148  36
9 1 -2  55.87  1.646  11
3 1 6  62.27  1.491  18
0 2 0  63.17  1.472  9
14 0 -2  75.90  1.254  6
13 1 -4  76.17  1.250  12
11 1 2  78.01  1.225  17
8 2 -4  78.83  1.214  9

Cell lengths 17.9536, 2.9439, 13.4650 Å; angles 90.00, 112.80, 90.00 degrees
Space group Cm (No. 8)
Inequivalent atoms, fractional coordinates:
Na  0.0000  0.0000  0.0000 x2
Na  0.0004  0.0000  0.4974 x2
Na  0.0996  0.5000  0.1988 x2
Na  0.0998  0.5000  0.6989 x2
Na  0.1980  0.0000  0.3989 x2
Na  0.2014  0.0000  0.8989 x2
Na  0.3005  0.5000  0.1001 x2
Na  0.2995  0.5000  0.5990 x2
Na  0.3994  0.0000  0.2990 x2
Na  0.3989  0.0000  0.8004 x2
B  0.0338  0.0000  0.8174 x2
B  0.0608  0.5000  0.3714 x2
B  0.0659  0.5000  0.8807 x2
B  0.1310  0.5000  0.5119 x2
B  0.1341  0.5000  0.0172 x2
B  0.1657  0.0000  0.0811 x2
B  0.1700  0.0000  0.5898 x2
B  0.2336  0.0000  0.2174 x2
B  0.2641  0.5000  0.7774 x2
B  0.2654  0.5000  0.2809 x2
B  0.3339  0.5000  0.4175 x2
B  0.3340  0.5000  0.9176 x2
B  0.3659  0.0000  0.4810 x2
B  0.3734  0.0000  0.9965 x2
B  0.4337  0.0000  0.6170 x2
B  0.4654  0.5000  0.6811 x2
B  0.4668  0.5000  0.1833 x2
C  0.0300  0.0000  0.3100 x2
C  0.2329  0.0000  0.7151 x2
C  0.4355  0.0000  0.1205 x2

=====

4.
The following is a theoretical PXRD pattern of Na5B8C2. It was derived from a cell relaxed with PBE, using Cu Ka.
Kinematic intensities with the Lorentz-polarization factor, no thermal factor.

Most intense lines, 2θ from 10° to 90°, sorted by position:
(hkl)  2theta  d [Å]  I/Imax
6 0 2  34.02  2.635  14
3 1 1  36.09  2.488  17
10 0 0  40.04  2.252  49
8 0 -4  41.68  2.167  38
7 1 -1  41.86  2.158  100
5 1 -5  56.30  1.634  10
9 1 3  62.24  1.492  17
0 2 0  66.21  1.411  9
15 1 -5  76.21  1.249  13
1 1 7  77.67  1.229  8
17 1 -1  77.79  1.228  8
10 2 0  80.28  1.196  9

Cell lengths 23.4431, 2.8229, 10.1514 Å; angles 90.00, 106.31, 90.00 degrees
Space group C2/m (No. 12)
Inequivalent atoms, fractional coordinates:
Na  0.0000  0.0000  0.0000 x2
Na  0.0000  0.5000  0.5000 x2
Na  0.0992  0.0000  0.6989 x4
Na  0.1010  0.5000  0.2037 x4
Na  0.2004  0.0000  0.4027 x4
Na  0.1995  0.5000  0.9004 x4
B  0.0162  0.5000  0.7811 x4
B  0.0242  0.0000  0.2998 x4
B  0.0801  0.5000  0.9086 x4
B  0.0912  0.0000  0.4325 x4
B  0.1229  0.0000  0.9960 x4
B  0.1829  0.5000  0.6144 x4
B  0.1858  0.0000  0.1228 x4
B  0.2270  0.5000  0.2061 x4
C  0.1214  0.5000  0.4923 x4
C  0.2139  0.0000  0.6752 x4

=====

5.
The following is a theoretical PXRD pattern of Na5B8C2. It was derived from a cell relaxed with PBE, using Cu Ka.
Kinematic intensities with the Lorentz-polarization factor, no thermal factor.

Most intense lines, 2θ from 10° to 90°, sorted by position:
(hkl)  2theta  d [Å]  I/Imax
0 2 0  33.96  2.640  13
5 1 -1  36.12  2.487  17
0 2 2  39.98  2.255  50
0 0 4  41.66  2.168  38
5 1 1  41.88  2.157  100
5 1 -5  56.30  1.634  9
5 3 -1  62.18  1.493  18
10 0 -2  66.32  1.409  7
5 1 -7  76.18  1.250  13
5 3 3  77.66  1.230  17
10 2 0  80.33  1.195  9
10 0 -6  81.44  1.182  8

Cell lengths 14.0950, 5.2797, 9.1200 Å; angles 90.00, 108.03, 90.00 degrees
Space group C2/c (No. 15)
Inequivalent atoms, fractional coordinates:
Na  0.0509  0.2459  0.0030 x8
Na  0.1508  0.2488  0.5036 x8
Na  0.2500  0.2500  0.0000 x4
B  0.0000  0.0690  0.2500 x4
B  0.0000  0.3975  0.2500 x4
B  0.0948  0.3827  0.7498 x8
B  0.1946  0.4035  0.2503 x8
B  0.1962  0.0773  0.2499 x8
C  0.0978  0.0880  0.7493 x8

=====

6.
The following is a theoretical PXRD pattern of Na10B17C3. It was derived from a cell relaxed with PBE, using Cu Ka.
Kinematic intensities with the Lorentz-polarization factor, no thermal factor.

Most intense lines, 2θ from 10° to 90°, sorted by position:
(hkl)  2theta  d [Å]  I/Imax
2 -1 0  33.79  2.653  10
1 2 -1  35.79  2.509  13
2 -1 2  39.81  2.264  36
0 0 4  41.57  2.173  100
2 -1 4  54.60  1.681  5
1 2 -5  55.99  1.642  7
3 1 -1  61.71  1.503  7
3 -4 1  61.79  1.501  7
0 5 -2  65.58  1.423  6
4 -2 2  74.84  1.269  5
1 -3 7  75.84  1.254  10
3 1 3  77.18  1.236  10

Cell lengths 5.3057, 7.5923, 9.1463 Å; angles 106.96, 90.05, 110.38 degrees
Space group P1 (No. 1)
Inequivalent atoms, fractional coordinates:
Na  0.0000  0.0000  0.0000 x1
Na  0.0968  0.1972  0.4933 x1
Na  0.1953  0.4001  0.0004 x1
Na  0.2991  0.6022  0.5063 x1
Na  0.3999  0.8000  0.9998 x1
Na  0.4999  0.9980  0.4963 x1
Na  0.6019  0.1988  0.9996 x1
Na  0.7030  0.4004  0.5003 x1
Na  0.8023  0.6000  0.9988 x1
Na  0.9015  0.8022  0.5042 x1
B  0.0184  0.6918  0.7499 x1
B  0.1143  0.9057  0.2497 x1
B  0.1686  0.6882  0.2500 x1
B  0.1868  0.1099  0.7501 x1
B  0.3013  0.9101  0.7496 x1
B  0.3074  0.3126  0.2502 x1
B  0.3771  0.4897  0.7498 x1
B  0.3974  0.1085  0.2499 x1
B  0.4941  0.6889  0.2502 x1
B  0.5011  0.2991  0.7499 x1
B  0.6198  0.5001  0.2497 x1
B  0.6270  0.9086  0.7501 x1
B  0.6911  0.6901  0.7498 x1
B  0.7111  0.0962  0.2499 x1
B  0.7855  0.8870  0.2500 x1
B  0.8305  0.2996  0.7498 x1
B  0.9811  0.3109  0.2499 x1
C  0.0852  0.4953  0.7500 x1
C  0.8897  0.1046  0.7505 x1
C  0.9131  0.4997  0.2493 x1